(1)
Structure and computed PXRD pattern of TbDyZn2Pb2 (a structure optimized by DFT (PBE); Cu Kα X-rays).
Neutral-atom scattering factors, no anomalous dispersion.

Atomic structure:
a b c (Å): 4.5923 4.5923 16.0320
angles (deg): 90.00 90.00 120.00
Space group P6_3/mmc (No. 194)
One atom of each set of equivalent atoms:
Tb: 0.0000 0.0000 0.0000 x2
Dy: 0.0000 0.0000 0.2500 x2
Zn: 0.3333 0.6667 0.1653 x4
Pb: 0.3333 0.6667 0.6102 x4

Main lines, low angle first (10 to 90 degrees two-theta):
2theta  intensity  h k l
27.97  43  1 0 3
31.70  100  1 0 4
39.24  72  1 1 0
45.71  26  1 0 7
51.29  26  2 0 4
61.41  16  1 1 8
61.78  11  2 0 7
66.42  24  2 1 4
71.12  13  3 0 0
75.68  12  2 1 7

(2)
Structure and computed PXRD pattern of Dy2Pd5Pt (a structure optimized by DFT (PBE); Cu Kα X-rays).
Neutral-atom scattering factors, no anomalous dispersion.

Atomic structure:
a b c (Å): 5.8068 11.6184 4.1190
angles (deg): 90.00 90.00 90.00
Space group Pbam (No. 55)
One atom of each set of equivalent atoms:
Dy: 0.2493 0.1247 0.0000 x4
Pd: 0.0000 0.0000 0.5000 x2
Pd: 0.0024 0.7497 0.5000 x4
Pd: 0.2477 0.3752 0.0000 x4
Pt: 0.0000 0.5000 0.5000 x2

Main lines, low angle first (10 to 90 degrees two-theta):
2theta  intensity  h k l
17.07  2  1 1 0
27.65  2  1 1 1
37.91  100  2 0 1
43.96  16  0 0 2
44.10  33  2 4 0
64.05  27  2 4 2
64.15  5  4 0 0
76.79  13  2 0 3
76.98  25  4 4 1
81.03  11  4 0 2

(3)
Structure and computed PXRD pattern of TbDy2Sn3PdPt2 (a structure optimized by DFT (PBE); Cu Kα X-rays).
Neutral-atom scattering factors, no anomalous dispersion.

Atomic structure:
a b c (Å): 4.0102 13.0785 7.5465
angles (deg): 90.00 90.00 90.00
Space group Amm2 (No. 38)
One atom of each set of equivalent atoms:
Tb: 0.0000 0.0000 0.0000 x2
Dy: 0.0000 0.2038 0.6115 x4
Sn: 0.5000 0.0000 0.6655 x2
Sn: 0.5000 0.1290 0.2788 x4
Pd: 0.0000 0.0000 0.4079 x2
Pt: 0.5000 0.1668 0.9076 x4

Main lines, low angle first (10 to 90 degrees two-theta):
2theta  intensity  h k l
32.58  100  1 0 2
35.43  89  1 2 2
36.36  42  0 5 1
41.44  43  0 3 3
43.00  28  1 5 1
45.22  27  2 0 0
59.36  21  2 5 1
63.00  25  2 3 3
66.57  31  1 8 2
69.98  19  1 3 5